This entry pairs a crystal structure of Sm6CdSi2S14 with its simulated XRD peak list. Radiation: Cu Kα, 1.54184 Å. Structure: the GGA-PBE geometry in the Materials Project.
No peak broadening, texture or thermal motion is included.

Cell and atoms:
```
23
Lattice="10.177 0.000 0.000 -5.089 8.814 0.000 0.000 0.000 5.681" Properties=species:S:1:pos:R:3 pbc="T T T"
Sm -2.072 4.020 0.000
Sm 2.073 1.855 2.831
Sm -0.571 8.598 0.000
Sm 2.643 5.010 0.000
Sm 7.534 0.868 2.831
Sm 5.659 6.091 2.831
Cd 5.089 2.938 4.206
Si 0.000 0.000 0.479
Si 0.000 5.876 3.335
S 0.000 0.000 4.054
S -0.349 1.949 1.326
S -3.227 8.142 1.326
S -1.863 6.547 4.177
S 0.350 3.927 4.177
S 0.000 5.876 1.228
S 2.919 2.159 5.581
S 4.660 0.674 2.787
S 1.513 7.154 4.177
S 3.342 4.442 2.787
S 6.848 1.449 5.581
S 3.576 7.537 1.326
S 5.498 5.206 5.581
S 7.264 3.698 2.787
```

Main lines, most intense first (2θ = 10–90°):
- 2θ 25.6, rel. 100
- 2θ 36.8, rel. 57
- 2θ 40.2, rel. 54
- 2θ 23.5, rel. 50
- 2θ 37.7, rel. 43
- 2θ 26.8, rel. 40
- 2θ 18.6, rel. 39
- 2θ 35.3, rel. 36
- 2θ 41.8, rel. 34
- 2θ 36.2, rel. 33

This entry pairs a crystal structure of Sm2CdS4 with its simulated XRD peak list. Radiation: Cu Kα, 1.54184 Å. Structure: the GGA-PBE geometry in the Materials Project.
No peak broadening, texture or thermal motion is included.

Cell and atoms:
```
14
Lattice="-4.206 4.206 4.385 4.206 -4.206 4.385 4.206 4.206 -4.385" Properties=species:S:1:pos:R:3 pbc="T T T"
Sm 6.310 1.169 -1.096
Sm 1.169 2.103 1.096
Sm -2.103 3.037 3.288
Sm 3.037 2.103 5.481
Cd 4.206 0.000 2.192
Cd 0.000 0.000 4.385
S 4.787 -2.578 2.757
S 1.629 -0.580 1.627
S 3.626 1.629 -0.565
S 6.784 0.580 1.627
S 2.578 -0.580 4.950
S 3.626 2.578 2.757
S 1.629 4.787 0.565
S 0.580 2.578 3.820
```

Main lines, most intense first (2θ = 10–90°):
- 2θ 25.8, rel. 100
- 2θ 25.2, rel. 68
- 2θ 33.6, rel. 56
- 2θ 33.7, rel. 52
- 2θ 32.4, rel. 49
- 2θ 39.0, rel. 36
- 2θ 50.0, rel. 33
- 2θ 40.0, rel. 29
- 2θ 55.6, rel. 27
- 2θ 39.6, rel. 25

This entry pairs a crystal structure of SrCd3S4 with its simulated XRD peak list. Radiation: Cu Kα, 1.54184 Å. Structure: the GGA-PBE geometry in the Materials Project.
No peak broadening, texture or thermal motion is included.

Cell and atoms:
```
8
Lattice="2.008 1.159 12.891 -2.008 1.159 12.891 0.000 -2.318 12.891" Properties=species:S:1:pos:R:3 pbc="T T T"
Sr 0.000 0.000 0.000
Cd 0.000 0.000 9.546
Cd 0.000 0.000 19.336
Cd 0.000 0.000 29.126
S 0.000 0.000 4.897
S 0.000 0.000 14.720
S 0.000 0.000 23.951
S 0.000 0.000 33.775
```

Main lines, most intense first (2θ = 10–90°):
- 2θ 31.7, rel. 100
- 2θ 27.3, rel. 41
- 2θ 45.2, rel. 36
- 2θ 45.7, rel. 33
- 2θ 56.2, rel. 18
- 2θ 74.9, rel. 15
- 2θ 27.7, rel. 13
- 2θ 53.8, rel. 13
- 2θ 75.7, rel. 12
- 2θ 83.8, rel. 11

This entry pairs a crystal structure of Tb2CdS4 with its simulated XRD peak list. Radiation: Cu Kα, 1.54184 Å. Structure: the GGA-PBE geometry in the Materials Project.
No peak broadening, texture or thermal motion is included.

Cell and atoms:
```
14
Lattice="-4.168 4.168 4.318 4.168 -4.168 4.318 4.168 4.168 -4.318" Properties=species:S:1:pos:R:3 pbc="T T T"
Tb 6.252 1.171 -1.080
Tb 1.171 2.084 1.080
Tb -2.084 2.997 3.239
Tb 2.997 2.084 5.398
Cd 4.168 0.000 2.159
Cd 0.000 0.000 4.318
S 4.731 -2.557 2.742
S 1.611 -0.563 1.576
S 3.605 1.611 -0.583
S 6.725 0.563 1.576
S 2.557 -0.563 4.901
S 3.605 2.557 2.742
S 1.611 4.731 0.583
S 0.563 2.557 3.735
```

Main lines, most intense first (2θ = 10–90°):
- 2θ 26.0, rel. 100
- 2θ 25.6, rel. 69
- 2θ 33.9, rel. 54
- 2θ 34.0, rel. 49
- 2θ 32.9, rel. 45
- 2θ 39.6, rel. 34
- 2θ 50.6, rel. 32
- 2θ 40.4, rel. 29
- 2θ 56.2, rel. 28
- 2θ 47.4, rel. 25

This entry pairs a crystal structure of Cd5Te4S with its simulated XRD peak list. Radiation: Cu Kα, 1.54184 Å. Structure: the GGA-PBE geometry in the Materials Project.
No peak broadening, texture or thermal motion is included.

Cell and atoms:
```
10
Lattice="2.298 1.327 18.732 -2.298 1.327 18.732 0.000 -2.654 18.732" Properties=species:S:1:pos:R:3 pbc="T T T"
Cd 0.000 0.000 0.000
Cd 0.000 0.000 10.963
Cd 0.000 0.000 21.922
Cd 0.000 0.000 33.580
Cd 0.000 0.000 44.546
Te 0.000 0.000 13.822
Te 0.000 0.000 24.794
Te 0.000 0.000 36.434
Te 0.000 0.000 47.409
S 0.000 0.000 2.566
```

Main lines, most intense first (2θ = 10–90°):
- 2θ 23.7, rel. 100
- 2θ 39.2, rel. 75
- 2θ 46.3, rel. 45
- 2θ 71.1, rel. 18
- 2θ 62.3, rel. 14
- 2θ 56.7, rel. 12
- 2θ 76.1, rel. 11
- 2θ 89.1, rel. 9
- 2θ 35.3, rel. 5
- 2θ 84.3, rel. 4

This entry pairs a crystal structure of TlCdS2 with its simulated XRD peak list. Radiation: Cu Kα, 1.54184 Å. Structure: the GGA-PBE geometry in the Materials Project.
No peak broadening, texture or thermal motion is included.

Cell and atoms:
```
4
Lattice="3.944 0.000 0.000 -1.972 3.415 0.000 0.000 0.000 6.958" Properties=species:S:1:pos:R:3 pbc="T T T"
Tl 0.000 0.000 0.000
Cd 0.000 0.000 3.479
S 0.000 2.277 5.021
S 1.972 1.138 1.936
```

Main lines, most intense first (2θ = 10–90°):
- 2θ 36.9, rel. 100
- 2θ 26.1, rel. 81
- 2θ 46.0, rel. 32
- 2θ 60.4, rel. 23
- 2θ 25.6, rel. 22
- 2θ 79.1, rel. 21
- 2θ 53.4, rel. 19
- 2θ 29.1, rel. 18
- 2θ 59.7, rel. 18
- 2θ 72.5, rel. 15

This entry pairs a crystal structure of TlCdS2 with its simulated XRD peak list. Radiation: Cu Kα, 1.54184 Å. Structure: the GGA-PBE geometry in the Materials Project.
No peak broadening, texture or thermal motion is included.

Cell and atoms:
```
4
Lattice="3.886 0.000 0.000 -1.943 3.366 0.000 0.000 0.000 7.075" Properties=species:S:1:pos:R:3 pbc="T T T"
Tl 0.000 0.000 0.000
Cd 0.000 2.244 3.538
S 1.943 1.122 1.922
S 1.943 1.122 5.154
```

Main lines, most intense first (2θ = 10–90°):
- 2θ 29.4, rel. 100
- 2θ 36.9, rel. 39
- 2θ 47.0, rel. 27
- 2θ 46.7, rel. 26
- 2θ 25.2, rel. 20
- 2θ 56.2, rel. 16
- 2θ 53.8, rel. 16
- 2θ 72.2, rel. 13
- 2θ 76.0, rel. 13
- 2θ 26.5, rel. 11